# 1
Theoretical powder X-ray diffraction pattern
Compound: Cs2Pm2PtO6
Radiation: λ = 1.5418 Å (Cu Kα)
Structure: a crystal structure in Alexandria, relaxed with GGA-PBE

Crystal structure
Unit cell a=6.010 b=6.010 c=7.220 alpha=97.19 beta=97.19 gamma=119.49
Element x y z (fractional)
1 Cs 0.164 0.836 0.000
2 Cs 0.836 0.164 0.000
3 Pm 0.335 0.665 0.500
4 Pm 0.665 0.335 0.500
5 Pt 0.000 0.000 0.500
6 O 0.045 0.349 0.656
7 O 0.250 0.250 0.340
8 O 0.349 0.045 0.656
9 O 0.651 0.955 0.344
10 O 0.750 0.750 0.660
11 O 0.955 0.651 0.344

Main lines, sorted by position (2θ = 15–90°):
2θ 17.36, d 5.108, I = 27; 2θ 25.47, d 3.497, I = 77; 2θ 30.47, d 2.933, I = 42; 2θ 31.09, d 2.876, I = 79; 2θ 34.15, d 2.626, I = 100; 2θ 34.69, d 2.586, I = 50; 2θ 45.00, d 2.014, I = 18; 2θ 46.32, d 1.960, I = 38; 2θ 52.50, d 1.743, I = 29; 2θ 52.82, d 1.733, I = 27

=====

# 2
Theoretical powder X-ray diffraction pattern
Compound: CsPmRuO6
Radiation: λ = 1.5418 Å (Cu Kα)
Structure: a crystal structure in Alexandria, relaxed with GGA-PBE

Crystal structure
Unit cell a=5.783 b=5.783 c=6.453 alpha=90.00 beta=90.00 gamma=120.00
Element x y z (fractional)
1 Cs 0.000 0.000 0.000
2 Pm 0.333 0.667 0.500
3 Ru 0.667 0.333 0.500
4 O 0.418 0.055 0.671
5 O 0.418 0.363 0.329
6 O 0.637 0.055 0.329
7 O 0.637 0.582 0.671
8 O 0.945 0.363 0.671
9 O 0.945 0.582 0.329

Main lines, sorted by position (2θ = 15–90°):
2θ 22.47, d 3.956, I = 100; 2θ 27.65, d 3.226, I = 15; 2θ 30.93, d 2.891, I = 36; 2θ 38.57, d 2.334, I = 20; 2θ 41.96, d 2.153, I = 44; 2θ 45.92, d 1.976, I = 13; 2θ 50.23, d 1.816, I = 22; 2θ 55.01, d 1.669, I = 11; 2θ 62.66, d 1.483, I = 11; 2θ 66.36, d 1.409, I = 11

=====

# 3
Theoretical powder X-ray diffraction pattern
Compound: CsPm3Se4O12
Radiation: λ = 1.5418 Å (Cu Kα)
Structure: a crystal structure in Alexandria, relaxed with GGA-PBE

Crystal structure
Unit cell a=7.840 b=7.840 c=7.840 alpha=106.96 beta=106.96 gamma=106.96
Element x y z (fractional)
1 Cs 0.000 0.000 0.000
2 Pm 0.000 0.567 0.433
3 Pm 0.433 0.000 0.567
4 Pm 0.567 0.433 0.000
5 Se 0.069 0.500 0.931
6 Se 0.500 0.500 0.500
7 Se 0.500 0.931 0.069
8 Se 0.931 0.069 0.500
9 O 0.085 0.623 0.783
10 O 0.117 0.883 0.500
11 O 0.217 0.377 0.915
12 O 0.349 0.651 0.500
13 O 0.377 0.915 0.217
14 O 0.500 0.117 0.883
15 O 0.500 0.349 0.651
16 O 0.623 0.783 0.085
17 O 0.651 0.500 0.349
18 O 0.783 0.085 0.623
19 O 0.883 0.500 0.117
20 O 0.915 0.217 0.377

Main lines, sorted by position (2θ = 15–90°):
2θ 23.84, d 3.732, I = 46; 2θ 24.47, d 3.638, I = 23; 2θ 26.08, d 3.416, I = 100; 2θ 28.33, d 3.150, I = 27; 2θ 31.27, d 2.861, I = 42; 2θ 33.82, d 2.650, I = 24; 2θ 44.57, d 2.033, I = 23; 2θ 46.48, d 1.954, I = 19; 2θ 49.38, d 1.846, I = 18; 2θ 52.36, d 1.747, I = 26

=====

# 4
Theoretical powder X-ray diffraction pattern
Compound: CsPm2TcO8
Radiation: λ = 1.5418 Å (Cu Kα)
Structure: a crystal structure in Alexandria, relaxed with GGA-PBE

Crystal structure
Unit cell a=4.492 b=5.289 c=7.685 alpha=89.49 beta=73.96 gamma=87.42
Element x y z (fractional)
1 Cs 0.000 0.000 0.000
2 Pm 0.389 0.515 0.305
3 Pm 0.611 0.485 0.695
4 Tc 0.000 0.000 0.500
5 O 0.160 0.298 0.592
6 O 0.220 0.768 0.610
7 O 0.329 0.491 0.010
8 O 0.331 0.987 0.289
9 O 0.669 0.013 0.711
10 O 0.671 0.509 0.990
11 O 0.780 0.232 0.390
12 O 0.840 0.702 0.408

Main lines, sorted by position (2θ = 15–90°):
2θ 26.09, d 3.416, I = 100; 2θ 26.66, d 3.344, I = 25; 2θ 27.11, d 3.290, I = 93; 2θ 27.27, d 3.271, I = 72; 2θ 29.46, d 3.032, I = 53; 2θ 29.56, d 3.022, I = 45; 2θ 33.93, d 2.642, I = 62; 2θ 36.50, d 2.462, I = 23; 2θ 43.26, d 2.091, I = 39; 2θ 44.64, d 2.030, I = 39

=====

# 5
Theoretical powder X-ray diffraction pattern
Compound: CsPmTcO6
Radiation: λ = 1.5418 Å (Cu Kα)
Structure: a crystal structure in Alexandria, relaxed with GGA-PBE

Crystal structure
Unit cell a=5.906 b=5.966 c=6.184 alpha=89.89 beta=89.82 gamma=60.36
Element x y z (fractional)
1 Cs 0.000 0.000 0.000
2 Pm 0.680 0.640 0.500
3 Tc 0.318 0.363 0.499
4 O 0.053 0.552 0.693
5 O 0.054 0.397 0.309
6 O 0.369 0.045 0.641
7 O 0.395 0.552 0.306
8 O 0.549 0.395 0.689
9 O 0.583 0.045 0.357

Main lines, sorted by position (2θ = 15–90°):
2θ 22.38, d 3.973, I = 67; 2θ 22.51, d 3.949, I = 100; 2θ 28.88, d 3.092, I = 21; 2θ 29.95, d 2.983, I = 43; 2θ 30.26, d 2.953, I = 20; 2θ 37.96, d 2.370, I = 30; 2θ 42.10, d 2.146, I = 43; 2θ 42.25, d 2.139, I = 15; 2θ 47.48, d 1.915, I = 14; 2θ 48.82, d 1.866, I = 23

=====

# 6
Theoretical powder X-ray diffraction pattern
Compound: CsPmTc2O7
Radiation: λ = 1.5418 Å (Cu Kα)
Structure: a crystal structure in Alexandria, relaxed with GGA-PBE

Crystal structure
Unit cell a=3.923 b=3.923 c=10.915 alpha=90.00 beta=90.00 gamma=90.00
Element x y z (fractional)
1 Cs 0.000 0.000 0.000
2 Pm 0.000 0.000 0.500
3 Tc 0.500 0.500 0.310
4 Tc 0.500 0.500 0.690
5 O 0.000 0.500 0.345
6 O 0.000 0.500 0.655
7 O 0.500 0.000 0.345
8 O 0.500 0.000 0.655
9 O 0.500 0.500 0.147
10 O 0.500 0.500 0.500
11 O 0.500 0.500 0.853

Main lines, sorted by position (2θ = 15–90°):
2θ 28.01, d 3.185, I = 100; 2θ 32.27, d 2.774, I = 42; 2θ 33.60, d 2.668, I = 8; 2θ 40.26, d 2.240, I = 16; 2θ 46.29, d 1.961, I = 25; 2θ 46.70, d 1.945, I = 15; 2θ 54.98, d 1.670, I = 30; 2θ 60.90, d 1.521, I = 10; 2θ 62.99, d 1.476, I = 9; 2θ 70.62, d 1.334, I = 9

=====

# 7
Theoretical powder X-ray diffraction pattern
Compound: CsPrRu2O8
Radiation: λ = 1.5418 Å (Cu Kα)
Structure: a crystal structure in Alexandria, relaxed with GGA-PBE

Crystal structure
Unit cell a=6.118 b=6.118 c=8.626 alpha=90.00 beta=90.00 gamma=120.00
Element x y z (fractional)
1 Cs 0.000 0.000 0.000
2 Pr 0.000 0.000 0.500
3 Ru 0.333 0.667 0.745
4 Ru 0.667 0.333 0.255
5 O 0.167 0.347 0.673
6 O 0.180 0.833 0.673
7 O 0.333 0.667 0.948
8 O 0.347 0.180 0.327
9 O 0.653 0.820 0.673
10 O 0.667 0.333 0.052
11 O 0.820 0.167 0.327
12 O 0.833 0.653 0.327

Main lines, sorted by position (2θ = 15–90°):
2θ 16.73, d 5.298, I = 31; 2θ 19.66, d 4.515, I = 84; 2θ 26.65, d 3.345, I = 100; 2θ 29.19, d 3.059, I = 72; 2θ 39.94, d 2.257, I = 42; 2θ 46.57, d 1.950, I = 20; 2θ 50.23, d 1.816, I = 34; 2θ 51.76, d 1.766, I = 14; 2θ 51.88, d 1.762, I = 30; 2θ 67.32, d 1.391, I = 15

=====

# 8
Theoretical powder X-ray diffraction pattern
Compound: CsPrS2O8
Radiation: λ = 1.5418 Å (Cu Kα)
Structure: a crystal structure in Alexandria, relaxed with GGA-PBE

Crystal structure
Unit cell a=9.750 b=14.542 c=5.514 alpha=90.00 beta=90.00 gamma=90.00
Element x y z (fractional)
1 Cs 0.076 0.250 0.250
2 Cs 0.424 0.750 0.250
3 Cs 0.576 0.250 0.750
4 Cs 0.924 0.750 0.750
5 Pr 0.250 0.000 0.675
6 Pr 0.250 0.500 0.825
7 Pr 0.750 0.000 0.325
8 Pr 0.750 0.500 0.175
9 S 0.086 0.583 0.263
10 S 0.086 0.917 0.237
11 S 0.414 0.083 0.237
12 S 0.414 0.417 0.263
13 S 0.586 0.583 0.737
14 S 0.586 0.917 0.763
15 S 0.914 0.083 0.763
16 S 0.914 0.417 0.737
17 O 0.061 0.111 0.775
18 O 0.061 0.389 0.725
19 O 0.098 0.016 0.306
20 O 0.098 0.484 0.194
21 O 0.151 0.600 0.504
22 O 0.151 0.900 0.996
23 O 0.158 0.637 0.069
24 O 0.158 0.863 0.431
25 O 0.342 0.137 0.431
26 O 0.342 0.363 0.069
27 O 0.349 0.100 0.996
28 O 0.349 0.400 0.504
29 O 0.402 0.516 0.194
30 O 0.402 0.984 0.306
31 O 0.439 0.611 0.725
32 O 0.439 0.889 0.775
33 O 0.561 0.111 0.225
34 O 0.561 0.389 0.275
35 O 0.598 0.016 0.694
36 O 0.598 0.484 0.806
37 O 0.651 0.600 0.496
38 O 0.651 0.900 0.004
39 O 0.658 0.637 0.931
40 O 0.658 0.863 0.569
41 O 0.842 0.137 0.569
42 O 0.842 0.363 0.931
43 O 0.849 0.100 0.004
44 O 0.849 0.400 0.496
45 O 0.902 0.516 0.806
46 O 0.902 0.984 0.694
47 O 0.939 0.611 0.275
48 O 0.939 0.889 0.225

Main lines, sorted by position (2θ = 15–90°):
2θ 21.95, d 4.049, I = 66; 2θ 22.19, d 4.006, I = 89; 2θ 24.48, d 3.637, I = 28; 2θ 25.92, d 3.437, I = 45; 2θ 26.13, d 3.411, I = 100; 2θ 31.96, d 2.800, I = 79; 2θ 32.47, d 2.757, I = 29; 2θ 40.67, d 2.218, I = 58; 2θ 41.61, d 2.170, I = 22; 2θ 41.75, d 2.164, I = 27

=====

Which formula does entry 5 have? CsPmTcO6